Starting from a PBE-relaxed structure, the powder X-ray diffraction pattern of Cs2NbCl5F was calculated for CuKα.
Kinematic intensities with the Lorentz-polarization factor, no thermal factor.

Main lines, sorted by position (2θ from 15° to 90°):
- d = 3.840 Å, 2θ 23.17, I = 426, (2 0 0)
- d = 3.693 Å, 2θ 24.10, I = 1000, (1 1 2)
- d = 3.053 Å, 2θ 29.25, I = 828, (2 0 2)
- d = 2.715 Å, 2θ 32.99, I = 701, (2 2 0)
- d = 2.518 Å, 2θ 35.65, I = 272, (0 0 4)
- d = 2.187 Å, 2θ 41.27, I = 450, (3 1 2)
- d = 1.920 Å, 2θ 47.35, I = 229, (4 0 0)
- d = 1.846 Å, 2θ 49.36, I = 391, (2 2 4)
- d = 1.625 Å, 2θ 56.63, I = 196, (4 2 2)
- d = 1.527 Å, 2θ 60.66, I = 198, (4 0 4)

Crystal structure
```
data_Cs2NbCl5F
_symmetry_space_group_name_H-M 'I 4 m m'
_symmetry_Int_Tables_number 107
_symmetry_space_group_name_Hall 'I 4 -2'
_cell_length_a 7.679
_cell_length_b 7.679
_cell_length_c 10.072
_cell_angle_alpha 90.00
_cell_angle_beta 90.00
_cell_angle_gamma 90.00
loop_
_atom_site_label
_atom_site_type_symbol
_atom_site_fract_x
_atom_site_fract_y
_atom_site_fract_z
_atom_site_occupancy
Cs1 Cs 0.000 0.500 0.000 1
Nb1 Nb 0.000 0.000 0.251 1
Cl1 Cl 0.000 0.000 0.491 1
Cl2 Cl 0.228 0.228 0.250 1
F1 F 0.000 0.000 0.059 1
```

Starting from a PBE-relaxed structure, the powder X-ray diffraction pattern of Cs8Cl3O2F was calculated for CuKα.
Kinematic intensities with the Lorentz-polarization factor, no thermal factor.

Main lines, sorted by position (2θ from 15° to 90°):
- d = 4.159 Å, 2θ 21.36, I = 241, (0 1 2)
- d = 3.801 Å, 2θ 23.40, I = 247, (1 1 1)
- d = 3.543 Å, 2θ 25.13, I = 296, (2 0 0)
- d = 3.424 Å, 2θ 26.02, I = 218, (0 0 3)
- d = 3.350 Å, 2θ 26.61, I = 1000, (0 2 1)
- d = 3.200 Å, 2θ 27.88, I = 312, (1 1 2)
- d = 3.083 Å, 2θ 28.96, I = 228, (1 0 3)
- d = 2.917 Å, 2θ 30.65, I = 281, (2 0 2)
- d = 2.080 Å, 2θ 43.52, I = 389, (0 2 4)
- d = 2.046 Å, 2θ 44.27, I = 335, (2 2 0)

Crystal structure
```
data_Cs8Cl3O2F
_symmetry_space_group_name_H-M 'P -3 m 1'
_symmetry_Int_Tables_number 164
_symmetry_space_group_name_Hall '-P 3 2"'
_cell_length_a 8.1833
_cell_length_b 8.1833
_cell_length_c 10.2733
_cell_angle_alpha 90.00
_cell_angle_beta 90.00
_cell_angle_gamma 120.00
loop_
_atom_site_label
_atom_site_type_symbol
_atom_site_fract_x
_atom_site_fract_y
_atom_site_fract_z
_atom_site_occupancy
Cs1 Cs 0.1669 0.3339 0.3126 1
Cs2 Cs 0.3333 0.6667 0.9355 1
Cl1 Cl 0.0000 0.0000 0.0000 1
Cl2 Cl 0.3333 0.6667 0.5896 1
O1 O 0.3333 0.6667 0.1842 1
F1 F 0.0000 0.0000 0.5000 1
```

Starting from a PBE-relaxed structure, the powder X-ray diffraction pattern of Cs2OsClF6 was calculated for CuKα.
Kinematic intensities with the Lorentz-polarization factor, no thermal factor.

Main lines, sorted by position (2θ from 15° to 90°):
- d = 5.752 Å, 2θ 15.40, I = 358, (1 1 1)
- d = 3.522 Å, 2θ 25.29, I = 1000, (2 2 0)
- d = 3.004 Å, 2θ 29.74, I = 124, (3 1 1)
- d = 2.491 Å, 2θ 36.06, I = 296, (4 0 0)
- d = 2.034 Å, 2θ 44.55, I = 374, (4 2 2)
- d = 1.917 Å, 2θ 47.42, I = 81, (5 1 1)
- d = 1.761 Å, 2θ 51.92, I = 179, (4 4 0)
- d = 1.575 Å, 2θ 58.60, I = 230, (6 2 0)
- d = 1.331 Å, 2θ 70.77, I = 235, (6 4 2)
- d = 1.174 Å, 2θ 82.08, I = 109, (6 6 0)

Crystal structure
```
data_Cs2OsClF6
_symmetry_space_group_name_H-M 'F m -3 m'
_symmetry_Int_Tables_number 225
_symmetry_space_group_name_Hall '-F 4 2 3'
_cell_length_a 9.963
_cell_length_b 9.963
_cell_length_c 9.963
_cell_angle_alpha 90.00
_cell_angle_beta 90.00
_cell_angle_gamma 90.00
loop_
_atom_site_label
_atom_site_type_symbol
_atom_site_fract_x
_atom_site_fract_y
_atom_site_fract_z
_atom_site_occupancy
Cs1 Cs 0.250 0.250 0.250 1
Os1 Os 0.000 0.000 0.000 1
Cl1 Cl 0.000 0.000 0.500 1
F1 F 0.000 0.000 0.193 1
```

Starting from a PBE-relaxed structure, the powder X-ray diffraction pattern of Cs2PCl5F was calculated for CuKα.
Kinematic intensities with the Lorentz-polarization factor, no thermal factor.

Main lines, sorted by position (2θ from 15° to 90°):
- d = 5.180 Å, 2θ 17.12, I = 294, (1 1 0)
- d = 3.688 Å, 2θ 24.13, I = 636, (1 1 2)
- d = 3.663 Å, 2θ 24.30, I = 216, (2 0 0)
- d = 3.004 Å, 2θ 29.74, I = 1000, (2 0 2)
- d = 2.625 Å, 2θ 34.15, I = 210, (0 0 4)
- d = 2.590 Å, 2θ 34.63, I = 438, (2 2 0)
- d = 2.120 Å, 2θ 42.66, I = 243, (3 1 2)
- d = 1.844 Å, 2θ 49.43, I = 256, (2 2 4)
- d = 1.832 Å, 2θ 49.78, I = 135, (4 0 0)
- d = 1.564 Å, 2θ 59.07, I = 218, (4 2 2)

Crystal structure
```
data_Cs2PCl5F
_symmetry_space_group_name_H-M 'I 4 m m'
_symmetry_Int_Tables_number 107
_symmetry_space_group_name_Hall 'I 4 -2'
_cell_length_a 7.326
_cell_length_b 7.326
_cell_length_c 10.502
_cell_angle_alpha 90.00
_cell_angle_beta 90.00
_cell_angle_gamma 90.00
loop_
_atom_site_label
_atom_site_type_symbol
_atom_site_fract_x
_atom_site_fract_y
_atom_site_fract_z
_atom_site_occupancy
Cs1 Cs 0.000 0.500 0.000 1
P1 P 0.000 0.000 0.250 1
Cl1 Cl 0.000 0.000 0.015 1
Cl2 Cl 0.223 0.223 0.252 1
F1 F 0.000 0.000 0.409 1
```

Starting from a PBE-relaxed structure, the powder X-ray diffraction pattern of Cs2PbCl2F4 was calculated for CuKα.
Kinematic intensities with the Lorentz-polarization factor, no thermal factor.

Main lines, sorted by position (2θ from 15° to 90°):
- d = 5.660 Å, 2θ 15.66, I = 928, (1 0 1)
- d = 3.653 Å, 2θ 24.37, I = 830, (2 0 0)
- d = 3.383 Å, 2θ 26.34, I = 1000, (1 1 2)
- d = 3.069 Å, 2θ 29.10, I = 284, (2 1 1)
- d = 2.763 Å, 2θ 32.40, I = 257, (1 0 3)
- d = 2.583 Å, 2θ 34.73, I = 536, (2 2 0)
- d = 2.204 Å, 2θ 40.96, I = 196, (2 1 3)
- d = 2.053 Å, 2θ 44.11, I = 467, (3 1 2)
- d = 1.909 Å, 2θ 47.65, I = 254, (2 0 4)
- d = 1.692 Å, 2θ 54.22, I = 275, (2 2 4)

Crystal structure
```
data_Cs2PbCl2F4
_symmetry_space_group_name_H-M 'I 4/m m m'
_symmetry_Int_Tables_number 139
_symmetry_space_group_name_Hall '-I 4 2'
_cell_length_a 7.305
_cell_length_b 7.305
_cell_length_c 8.954
_cell_angle_alpha 90.00
_cell_angle_beta 90.00
_cell_angle_gamma 90.00
loop_
_atom_site_label
_atom_site_type_symbol
_atom_site_fract_x
_atom_site_fract_y
_atom_site_fract_z
_atom_site_occupancy
Cs1 Cs 0.000 0.500 0.250 1
Pb1 Pb 0.000 0.000 0.000 1
Cl1 Cl 0.000 0.000 0.280 1
F1 F 0.206 0.206 0.000 1
```

Starting from a PBE-relaxed structure, the powder X-ray diffraction pattern of Cs2PbClF3 was calculated for CuKα.
Kinematic intensities with the Lorentz-polarization factor, no thermal factor.

Main lines, sorted by position (2θ from 15° to 90°):
- d = 3.815 Å, 2θ 23.32, I = 848, (0 1 3)
- d = 3.743 Å, 2θ 23.77, I = 1000, (1 1 0)
- d = 3.538 Å, 2θ 25.17, I = 823, (1 0 3)
- d = 2.883 Å, 2θ 31.02, I = 404, (0 2 0)
- d = 2.544 Å, 2θ 35.27, I = 265, (0 0 6)
- d = 2.460 Å, 2θ 36.52, I = 290, (2 0 0)
- d = 2.235 Å, 2θ 40.36, I = 490, (1 2 3)
- d = 2.104 Å, 2θ 42.98, I = 388, (1 1 6)
- d = 2.068 Å, 2θ 43.77, I = 333, (2 1 3)
- d = 1.908 Å, 2θ 47.67, I = 248, (0 2 6)

Crystal structure
```
data_Cs2PbClF3
_symmetry_space_group_name_H-M 'I m m m'
_symmetry_Int_Tables_number 71
_symmetry_space_group_name_Hall '-I 2 2'
_cell_length_a 4.922
_cell_length_b 5.765
_cell_length_c 15.266
_cell_angle_alpha 90.00
_cell_angle_beta 90.00
_cell_angle_gamma 90.00
loop_
_atom_site_label
_atom_site_type_symbol
_atom_site_fract_x
_atom_site_fract_y
_atom_site_fract_z
_atom_site_occupancy
Cs1 Cs 0.000 0.000 0.157 1
Pb1 Pb 0.000 0.000 0.500 1
Cl1 Cl 0.000 0.500 0.500 1
F1 F 0.000 0.000 0.340 1
F2 F 0.000 0.500 0.000 1
```